(1)
The following is a theoretical powder diffraction line list of Sm2DyRu. It was derived from a structure optimized by DFT (PBE), using Cu Kα (λ = 1.5418 Å).

Structure:
a b c (Å): 7.352 9.467 6.373
angles (deg): 90.00 90.00 90.00
Atoms (fractional coordinates):
Sm 0.177 0.065 0.170
Sm 0.177 0.435 0.170
Sm 0.323 0.565 0.670
Sm 0.323 0.935 0.670
Sm 0.677 0.065 0.330
Sm 0.677 0.435 0.330
Sm 0.823 0.565 0.830
Sm 0.823 0.935 0.830
Dy 0.043 0.250 0.641
Dy 0.457 0.750 0.141
Dy 0.543 0.250 0.859
Dy 0.957 0.750 0.359
Ru 0.115 0.750 0.960
Ru 0.385 0.250 0.460
Ru 0.615 0.750 0.540
Ru 0.885 0.250 0.040

Main lines, in order of rising 2θ (15 to 90 degrees two-theta):
- 2θ = 29.60°, I 35
- 2θ = 30.58°, I 32
- 2θ = 30.80°, I 43
- 2θ = 31.64°, I 63
- 2θ = 32.04°, I 56
- 2θ = 33.94°, I 100
- 2θ = 39.39°, I 21
- 2θ = 48.58°, I 26
- 2θ = 55.55°, I 22
- 2θ = 58.06°, I 31

=====

(2)
The following is a theoretical powder diffraction line list of AcTl3Hg. It was derived from a structure optimized by DFT (PBE), using Cu Kα (λ = 1.5418 Å).

Structure:
a b c (Å): 12.695 4.953 9.908
angles (deg): 90.00 90.00 90.00
Atoms (fractional coordinates):
Ac 0.247 0.250 0.025
Ac 0.253 0.750 0.525
Ac 0.747 0.250 0.475
Ac 0.753 0.750 0.975
Tl 0.050 0.250 0.411
Tl 0.062 0.750 0.888
Tl 0.104 0.750 0.211
Tl 0.396 0.250 0.711
Tl 0.438 0.250 0.388
Tl 0.450 0.750 0.911
Tl 0.550 0.250 0.089
Tl 0.562 0.750 0.612
Tl 0.604 0.750 0.289
Tl 0.896 0.250 0.789
Tl 0.938 0.250 0.112
Tl 0.950 0.750 0.589
Hg 0.140 0.250 0.708
Hg 0.360 0.750 0.208
Hg 0.640 0.250 0.792
Hg 0.860 0.750 0.292

Main lines, in order of rising 2θ (15 to 90 degrees two-theta):
- 2θ = 29.18°, I 100
- 2θ = 32.59°, I 67
- 2θ = 33.36°, I 42
- 2θ = 33.53°, I 37
- 2θ = 34.77°, I 34
- 2θ = 36.27°, I 46
- 2θ = 42.28°, I 18
- 2θ = 50.23°, I 22
- 2θ = 56.90°, I 15
- 2θ = 62.32°, I 20

=====

(3)
The following is a theoretical powder diffraction line list of GdCu2O4. It was derived from a structure optimized by DFT (PBE), using Cu Kα (λ = 1.5418 Å).

Structure:
a b c (Å): 6.326 6.326 6.326
angles (deg): 125.94 125.94 79.98
Atoms (fractional coordinates):
Gd 0.375 0.125 0.250
Gd 0.625 0.875 0.750
Cu 0.000 0.000 0.500
Cu 0.000 0.500 0.000
Cu 0.000 0.500 0.500
Cu 0.500 0.500 0.000
O 0.029 0.714 0.891
O 0.214 0.823 0.685
O 0.323 0.138 0.609
O 0.362 0.471 0.185
O 0.638 0.529 0.815
O 0.677 0.862 0.391
O 0.786 0.177 0.315
O 0.971 0.286 0.109

Main lines, in order of rising 2θ (15 to 90 degrees two-theta):
- 2θ = 28.66°, I 56
- 2θ = 31.11°, I 14
- 2θ = 31.77°, I 50
- 2θ = 36.14°, I 100
- 2θ = 36.33°, I 22
- 2θ = 49.62°, I 22
- 2θ = 53.85°, I 26
- 2θ = 55.77°, I 17
- 2θ = 58.67°, I 20
- 2θ = 59.34°, I 29

=====

(4)
The following is a theoretical powder diffraction line list of ErZn4Cd8. It was derived from a structure optimized by DFT (PBE), using Cu Kα (λ = 1.5418 Å).

Structure:
a b c (Å): 7.349 7.349 7.349
angles (deg): 98.61 98.61 134.46
Atoms (fractional coordinates):
Er 0.000 0.000 0.000
Zn 0.000 0.000 0.500
Zn 0.000 0.500 0.000
Zn 0.500 0.000 0.000
Zn 0.500 0.500 0.500
Cd 0.000 0.344 0.344
Cd 0.000 0.656 0.656
Cd 0.284 0.500 0.784
Cd 0.344 0.000 0.344
Cd 0.500 0.284 0.784
Cd 0.500 0.716 0.216
Cd 0.656 0.000 0.656
Cd 0.716 0.500 0.216

Main lines, in order of rising 2θ (15 to 90 degrees two-theta):
- 2θ = 31.45°, I 30
- 2θ = 32.14°, I 50
- 2θ = 36.75°, I 47
- 2θ = 37.34°, I 100
- 2θ = 37.54°, I 48
- 2θ = 41.45°, I 45
- 2θ = 41.99°, I 18
- 2θ = 59.92°, I 24
- 2θ = 67.22°, I 22
- 2θ = 67.61°, I 26

=====

(5)
The following is a theoretical powder diffraction line list of La2NdSn2Hg2. It was derived from a structure optimized by DFT (PBE), using Cu Kα (λ = 1.5418 Å).

Structure:
a b c (Å): 9.855 9.855 9.855
angles (deg): 29.53 29.53 29.53
Atoms (fractional coordinates):
La 0.132 0.132 0.132
La 0.868 0.868 0.868
Nd 0.000 0.000 0.000
Sn 0.272 0.272 0.272
Sn 0.728 0.728 0.728
Hg 0.424 0.424 0.424
Hg 0.576 0.576 0.576

Main lines, in order of rising 2θ (15 to 90 degrees two-theta):
- 2θ = 18.84°, I 11
- 2θ = 30.21°, I 100
- 2θ = 35.75°, I 75
- 2θ = 40.72°, I 11
- 2θ = 46.72°, I 10
- 2θ = 47.49°, I 29
- 2θ = 49.81°, I 15
- 2θ = 60.84°, I 28
- 2θ = 64.24°, I 14
- 2θ = 83.66°, I 12

=====

(6)
The following is a theoretical powder diffraction line list of NaNb2O4. It was derived from a structure optimized by DFT (PBE), using Cu Kα (λ = 1.5418 Å).

Structure:
a b c (Å): 5.153 12.242 5.963
angles (deg): 90.00 90.00 90.00
Atoms (fractional coordinates):
Na 0.193 0.004 0.250
Na 0.193 0.496 0.750
Na 0.807 0.504 0.250
Na 0.807 0.996 0.750
Nb 0.159 0.747 0.250
Nb 0.159 0.753 0.750
Nb 0.344 0.250 0.000
Nb 0.344 0.250 0.500
Nb 0.656 0.750 0.000
Nb 0.656 0.750 0.500
Nb 0.841 0.247 0.250
Nb 0.841 0.253 0.750
O 0.009 0.147 0.502
O 0.009 0.147 0.998
O 0.009 0.353 0.002
O 0.009 0.353 0.498
O 0.487 0.650 0.750
O 0.487 0.850 0.250
O 0.495 0.648 0.250
O 0.495 0.852 0.750
O 0.505 0.148 0.250
O 0.505 0.352 0.750
O 0.513 0.150 0.750
O 0.513 0.350 0.250
O 0.991 0.647 0.502
O 0.991 0.647 0.998
O 0.991 0.853 0.002
O 0.991 0.853 0.498

Main lines, in order of rising 2θ (15 to 90 degrees two-theta):
- 2θ = 29.18°, I 26
- 2θ = 35.57°, I 100
- 2θ = 37.84°, I 14
- 2θ = 41.41°, I 66
- 2θ = 46.01°, I 44
- 2θ = 51.46°, I 33
- 2θ = 57.60°, I 14
- 2θ = 62.39°, I 16
- 2θ = 64.35°, I 25
- 2θ = 64.42°, I 14

=====

(7)
The following is a theoretical powder diffraction line list of Ca2Sn6Pd. It was derived from a structure optimized by DFT (PBE), using Cu Kα (λ = 1.5418 Å).

Structure:
a b c (Å): 4.508 12.328 12.328
angles (deg): 20.98 90.00 90.00
Atoms (fractional coordinates):
Ca 0.000 0.000 0.000
Ca 0.000 0.339 0.339
Sn 0.000 0.603 0.603
Sn 0.000 0.724 0.724
Sn 0.500 0.103 0.103
Sn 0.500 0.224 0.224
Sn 0.500 0.469 0.469
Sn 0.500 0.894 0.894
Pd 0.500 0.786 0.786

Main lines, in order of rising 2θ (15 to 90 degrees two-theta):
- 2θ = 19.69°, I 19
- 2θ = 28.29°, I 37
- 2θ = 29.47°, I 24
- 2θ = 30.19°, I 100
- 2θ = 33.69°, I 29
- 2θ = 38.42°, I 38
- 2θ = 40.00°, I 38
- 2θ = 40.17°, I 38
- 2θ = 44.05°, I 54
- 2θ = 57.98°, I 26

=====

(8)
The following is a theoretical powder diffraction line list of Tb4In3Pb. It was derived from a structure optimized by DFT (PBE), using Cu Kα (λ = 1.5418 Å).

Structure:
a b c (Å): 10.923 7.149 5.575
angles (deg): 90.00 90.00 90.00
Atoms (fractional coordinates):
Tb 0.000 0.247 0.000
Tb 0.000 0.753 0.000
Tb 0.250 0.248 0.417
Tb 0.250 0.752 0.417
Tb 0.500 0.247 0.000
Tb 0.500 0.753 0.000
Tb 0.750 0.248 0.583
Tb 0.750 0.752 0.583
In 0.000 0.000 0.500
In 0.250 0.000 0.907
In 0.250 0.500 0.913
In 0.500 0.000 0.500
In 0.750 0.000 0.093
In 0.750 0.500 0.087
Pb 0.000 0.500 0.500
Pb 0.500 0.500 0.500

Main lines, in order of rising 2θ (15 to 90 degrees two-theta):
- 2θ = 30.82°, I 8
- 2θ = 32.11°, I 19
- 2θ = 32.80°, I 32
- 2θ = 33.17°, I 10
- 2θ = 34.01°, I 100
- 2θ = 46.55°, I 14
- 2θ = 51.10°, I 9
- 2θ = 59.33°, I 20
- 2θ = 62.06°, I 10
- 2θ = 71.60°, I 8

=====

(9)
The following is a theoretical powder diffraction line list of CaCu2. It was derived from a structure optimized by DFT (PBE), using Cu Kα (λ = 1.5418 Å).

Structure:
a b c (Å): 4.915 4.915 9.634
angles (deg): 90.00 90.00 90.00
Atoms (fractional coordinates):
Ca 0.000 0.000 0.250
Ca 0.000 0.000 0.750
Ca 0.500 0.500 0.250
Ca 0.500 0.500 0.750
Cu 0.176 0.324 0.000
Cu 0.176 0.676 0.500
Cu 0.324 0.176 0.500
Cu 0.324 0.824 0.000
Cu 0.676 0.176 0.000
Cu 0.676 0.824 0.500
Cu 0.824 0.324 0.500
Cu 0.824 0.676 0.000

Main lines, in order of rising 2θ (15 to 90 degrees two-theta):
- 2θ = 18.42°, I 97
- 2θ = 31.75°, I 56
- 2θ = 37.33°, I 59
- 2θ = 41.24°, I 85
- 2θ = 42.17°, I 100
- 2θ = 50.30°, I 58
- 2θ = 59.47°, I 18
- 2θ = 64.29°, I 26
- 2θ = 72.36°, I 19
- 2θ = 81.33°, I 18

=====

(10)
The following is a theoretical powder diffraction line list of Ac4B3Rh12Pb. It was derived from a structure optimized by DFT (PBE), using Cu Kα (λ = 1.5418 Å).

Structure:
a b c (Å): 7.810 7.810 7.810
angles (deg): 109.47 109.47 109.47
Atoms (fractional coordinates):
Ac 0.000 0.000 0.500
Ac 0.000 0.500 0.000
Ac 0.500 0.000 0.000
Ac 0.500 0.500 0.500
B 0.000 0.500 0.500
B 0.500 0.000 0.500
B 0.500 0.500 0.000
Rh 0.000 0.285 0.285
Rh 0.000 0.715 0.715
Rh 0.250 0.500 0.750
Rh 0.250 0.750 0.500
Rh 0.285 0.000 0.285
Rh 0.285 0.285 0.000
Rh 0.500 0.250 0.750
Rh 0.500 0.750 0.250
Rh 0.715 0.000 0.715
Rh 0.715 0.715 0.000
Rh 0.750 0.250 0.500
Rh 0.750 0.500 0.250
Pb 0.000 0.000 0.000

Main lines, in order of rising 2θ (15 to 90 degrees two-theta):
- 2θ = 27.99°, I 39
- 2θ = 34.45°, I 100
- 2θ = 37.31°, I 13
- 2θ = 39.99°, I 76
- 2θ = 49.52°, I 14
- 2θ = 57.84°, I 48
- 2θ = 65.46°, I 11
- 2θ = 69.09°, I 34
- 2θ = 72.64°, I 15
- 2θ = 79.54°, I 11

=====

(11)
The following is a theoretical powder diffraction line list of BaRu3O9. It was derived from a structure optimized by DFT (PBE), using Cu Kα (λ = 1.5418 Å).

Structure:
a b c (Å): 5.748 7.598 7.987
angles (deg): 90.00 93.97 90.00
Atoms (fractional coordinates):
Ba 0.027 0.250 0.431
Ba 0.973 0.750 0.569
Ru 0.000 0.000 0.000
Ru 0.000 0.500 0.000
Ru 0.474 0.003 0.697
Ru 0.474 0.497 0.697
Ru 0.526 0.503 0.303
Ru 0.526 0.997 0.303
O 0.031 0.250 0.999
O 0.173 0.522 0.791
O 0.173 0.978 0.791
O 0.289 0.518 0.126
O 0.289 0.982 0.126
O 0.293 0.526 0.477
O 0.293 0.974 0.477
O 0.434 0.250 0.693
O 0.485 0.250 0.300
O 0.515 0.750 0.700
O 0.566 0.750 0.307
O 0.707 0.026 0.523
O 0.707 0.474 0.523
O 0.711 0.018 0.874
O 0.711 0.482 0.874
O 0.827 0.022 0.209
O 0.827 0.478 0.209
O 0.969 0.750 0.001

Main lines, in order of rising 2θ (15 to 90 degrees two-theta):
- 2θ = 23.41°, I 39
- 2θ = 25.98°, I 25
- 2θ = 26.34°, I 82
- 2θ = 28.16°, I 100
- 2θ = 29.96°, I 41
- 2θ = 30.78°, I 67
- 2θ = 31.20°, I 53
- 2θ = 47.89°, I 33
- 2θ = 54.34°, I 22
- 2θ = 55.47°, I 20

=====

(12)
The following is a theoretical powder diffraction line list of Mn6Al. It was derived from a structure optimized by DFT (PBE), using Cu Kα (λ = 1.5418 Å).

Structure:
a b c (Å): 6.004 6.004 6.004
angles (deg): 90.00 90.00 90.00
Atoms (fractional coordinates):
Mn 0.000 0.250 0.500
Mn 0.000 0.500 0.250
Mn 0.000 0.500 0.750
Mn 0.000 0.750 0.500
Mn 0.250 0.000 0.500
Mn 0.250 0.500 0.000
Mn 0.500 0.000 0.250
Mn 0.500 0.000 0.750
Mn 0.500 0.250 0.000
Mn 0.500 0.750 0.000
Mn 0.750 0.000 0.500
Mn 0.750 0.500 0.000
Al 0.000 0.000 0.000
Al 0.500 0.500 0.500

Main lines, in order of rising 2θ (15 to 90 degrees two-theta):
- 2θ = 20.92°, I 82
- 2θ = 29.76°, I 45
- 2θ = 36.66°, I 100
- 2θ = 42.59°, I 12
- 2θ = 47.91°, I 16
- 2θ = 52.82°, I 53
- 2θ = 57.42°, I 49
- 2θ = 61.81°, I 33
- 2θ = 70.09°, I 13
- 2θ = 89.38°, I 13